For K5Cl4F, a structure optimized by DFT (PBE) gives the simulated X-ray powder pattern in this record (Cu Kα, 1.54184 Å).
No peak broadening, texture or thermal motion is included.

Structure:
Unit cell a=15.7450 b=15.7450 c=15.7450 alpha=163.84 beta=163.84 gamma=22.93
Element x y z (fractional)
K1 0.0000 0.0000 0.0000
K2 0.1984 0.1984 0.0000
K3 0.4113 0.4113 0.0000
K4 0.5887 0.5887 0.0000
K5 0.8016 0.8016 0.0000
Cl1 0.0972 0.0972 0.0000
Cl2 0.3022 0.3022 0.0000
Cl3 0.6978 0.6978 0.0000
Cl4 0.9028 0.9028 0.0000
F1 0.5000 0.5000 0.0000

Largest 10 diffraction maxima, in order of rising 2θ, 10 to 90 degrees two-theta:
- 2θ = 28.5°, d 3.129, I = 100
- 2θ = 28.9°, d 3.086, I = 41
- 2θ = 40.8°, d 2.213, I = 33
- 2θ = 41.1°, d 2.197, I = 57
- 2θ = 50.8°, d 1.798, I = 28
- 2θ = 59.0°, d 1.565, I = 10
- 2θ = 66.8°, d 1.400, I = 13
- 2θ = 67.1°, d 1.396, I = 11
- 2θ = 67.7°, d 1.384, I = 7
- 2θ = 74.4°, d 1.275, I = 16

For DyHoCd4, a structure optimized by DFT (PBE) gives the simulated X-ray powder pattern in this record (Cu Kα, 1.54184 Å).
No peak broadening, texture or thermal motion is included.

Structure:
Unit cell a=3.4297 b=4.9756 c=8.5880 alpha=90.00 beta=90.09 gamma=90.00
Element x y z (fractional)
Dy1 0.0000 0.0000 0.0000
Ho1 0.0000 0.5000 0.5000
Cd1 0.4993 0.0000 0.3333
Cd2 0.4993 0.5000 0.8325
Cd3 0.5007 0.0000 0.6667
Cd4 0.5007 0.5000 0.1675

Largest 10 diffraction maxima, in order of rising 2θ, 10 to 90 degrees two-theta:
- 2θ = 33.4°, d 2.682, I = 100
- 2θ = 36.2°, d 2.483, I = 81
- 2θ = 50.0°, d 1.823, I = 27
- 2θ = 53.4°, d 1.715, I = 9
- 2θ = 63.2°, d 1.471, I = 15
- 2θ = 63.4°, d 1.468, I = 15
- 2θ = 65.0°, d 1.435, I = 9
- 2θ = 66.2°, d 1.412, I = 18
- 2θ = 66.3°, d 1.410, I = 9
- 2θ = 88.9°, d 1.101, I = 8

For Rb6AgHg2O, a structure optimized by DFT (PBE) gives the simulated X-ray powder pattern in this record (Cu Kα, 1.54184 Å).
No peak broadening, texture or thermal motion is included.

Structure:
Unit cell a=8.8441 b=8.8441 c=8.8385 alpha=119.93 beta=119.93 gamma=90.03
Element x y z (fractional)
Rb1 0.0000 0.0000 0.0000
Rb2 0.0003 0.5559 0.5556
Rb3 0.0009 0.0009 0.5564
Rb4 0.5559 0.0003 0.5556
Rb5 0.5560 0.5560 0.5552
Rb6 0.5567 0.5567 0.1112
Ag1 0.2783 0.2783 0.5555
Hg1 0.0273 0.5258 0.0521
Hg2 0.5258 0.0273 0.0521
O1 0.7783 0.7783 0.5555

Largest 10 diffraction maxima, in order of rising 2θ, 10 to 90 degrees two-theta:
- 2θ = 20.1°, d 4.424, I = 59
- 2θ = 24.6°, d 3.612, I = 100
- 2θ = 28.5°, d 3.128, I = 93
- 2θ = 31.2°, d 2.871, I = 17
- 2θ = 35.1°, d 2.554, I = 24
- 2θ = 40.8°, d 2.213, I = 54
- 2θ = 45.9°, d 1.979, I = 15
- 2θ = 48.2°, d 1.887, I = 33
- 2θ = 50.5°, d 1.806, I = 21
- 2θ = 66.9°, d 1.398, I = 16

For Zn4In2O7, a structure optimized by DFT (PBE) gives the simulated X-ray powder pattern in this record (Cu Kα, 1.54184 Å).
No peak broadening, texture or thermal motion is included.

Structure:
Unit cell a=3.4338 b=3.4338 c=33.6424 alpha=90.00 beta=90.00 gamma=120.00
Element x y z (fractional)
Zn1 0.0000 0.0000 0.1666
Zn2 0.0000 0.0000 0.3334
Zn3 0.0000 0.0000 0.6666
Zn4 0.0000 0.0000 0.8334
Zn5 0.3333 0.6667 0.0902
Zn6 0.3333 0.6667 0.4098
Zn7 0.6667 0.3333 0.5903
Zn8 0.6667 0.3333 0.9098
In1 0.0000 0.0000 0.0000
In2 0.0000 0.0000 0.5000
In3 0.3333 0.6667 0.2500
In4 0.6667 0.3333 0.7500
O1 0.0000 0.0000 0.1074
O2 0.0000 0.0000 0.2500
O3 0.0000 0.0000 0.3926
O4 0.0000 0.0000 0.6074
O5 0.0000 0.0000 0.7500
O6 0.0000 0.0000 0.8926
O7 0.3333 0.6667 0.0313
O8 0.3333 0.6667 0.1839
O9 0.3333 0.6667 0.3161
O10 0.3333 0.6667 0.4687
O11 0.6667 0.3333 0.5313
O12 0.6667 0.3333 0.6839
O13 0.6667 0.3333 0.8161
O14 0.6667 0.3333 0.9687

Largest 10 diffraction maxima, in order of rising 2θ, 10 to 90 degrees two-theta:
- 2θ = 30.2°, d 2.962, I = 52
- 2θ = 31.9°, d 2.804, I = 45
- 2θ = 32.9°, d 2.720, I = 22
- 2θ = 34.1°, d 2.627, I = 100
- 2θ = 35.5°, d 2.529, I = 15
- 2θ = 46.5°, d 1.952, I = 22
- 2θ = 53.4°, d 1.717, I = 48
- 2θ = 58.3°, d 1.582, I = 29
- 2θ = 63.5°, d 1.464, I = 35
- 2θ = 64.9°, d 1.437, I = 16

For LaCeSmY2, a structure optimized by DFT (PBE) gives the simulated X-ray powder pattern in this record (Cu Kα, 1.54184 Å).
No peak broadening, texture or thermal motion is included.

Structure:
Unit cell a=8.6483 b=6.4013 c=6.1597 alpha=90.00 beta=96.53 gamma=90.00
Element x y z (fractional)
La1 0.0000 0.0000 0.0000
La2 0.0000 0.0000 0.5000
Ce1 0.0000 0.4553 0.2500
Ce2 0.0000 0.5447 0.7500
Sm1 0.5000 0.1686 0.2500
Sm2 0.5000 0.8314 0.7500
Y1 0.3105 0.3214 0.7162
Y2 0.3105 0.6786 0.2162
Y3 0.6895 0.3214 0.7838
Y4 0.6895 0.6786 0.2838

Largest 10 diffraction maxima, in order of rising 2θ, 10 to 90 degrees two-theta:
- 2θ = 20.7°, d 4.296, I = 59
- 2θ = 27.7°, d 3.217, I = 46
- 2θ = 29.2°, d 3.060, I = 30
- 2θ = 29.8°, d 2.998, I = 100
- 2θ = 30.2°, d 2.962, I = 52
- 2θ = 32.4°, d 2.761, I = 32
- 2θ = 32.7°, d 2.737, I = 34
- 2θ = 33.0°, d 2.711, I = 35
- 2θ = 35.2°, d 2.553, I = 43
- 2θ = 43.1°, d 2.098, I = 37

For Rb3SnCl6, a structure optimized by DFT (PBE) gives the simulated X-ray powder pattern in this record (Cu Kα, 1.54184 Å).
No peak broadening, texture or thermal motion is included.

Structure:
Unit cell a=7.7756 b=8.2204 c=13.5780 alpha=90.00 beta=124.85 gamma=90.00
Element x y z (fractional)
Rb1 0.0000 0.0000 0.0000
Rb2 0.0000 0.5000 0.5000
Rb3 0.2229 0.0701 0.7480
Rb4 0.2229 0.4299 0.2480
Rb5 0.7771 0.5701 0.7520
Rb6 0.7771 0.9299 0.2520
Sn1 0.5000 0.0000 0.5000
Sn2 0.5000 0.5000 0.0000
Cl1 0.1715 0.1762 0.4466
Cl2 0.1715 0.3238 0.9466
Cl3 0.2651 0.7313 0.4308
Cl4 0.2651 0.7687 0.9308
Cl5 0.3960 0.0476 0.2788
Cl6 0.3960 0.4524 0.7788
Cl7 0.6040 0.5476 0.2212
Cl8 0.6040 0.9524 0.7212
Cl9 0.7349 0.2313 0.0692
Cl10 0.7349 0.2687 0.5692
Cl11 0.8285 0.6762 0.0534
Cl12 0.8285 0.8238 0.5534

Largest 10 diffraction maxima, in order of rising 2θ, 10 to 90 degrees two-theta:
- 2θ = 21.6°, d 4.110, I = 20
- 2θ = 22.4°, d 3.967, I = 100
- 2θ = 22.9°, d 3.888, I = 19
- 2θ = 26.6°, d 3.352, I = 18
- 2θ = 31.7°, d 2.824, I = 35
- 2θ = 32.1°, d 2.786, I = 21
- 2θ = 35.7°, d 2.518, I = 18
- 2θ = 39.1°, d 2.306, I = 17
- 2θ = 39.9°, d 2.262, I = 40
- 2θ = 39.9°, d 2.258, I = 16

For LiZr2O4, a structure optimized by DFT (PBE) gives the simulated X-ray powder pattern in this record (Cu Kα, 1.54184 Å).
No peak broadening, texture or thermal motion is included.

Structure:
Unit cell a=6.4421 b=6.4421 c=6.4421 alpha=119.90 beta=119.90 gamma=90.18
Element x y z (fractional)
Li1 0.3750 0.6250 0.7500
Li2 0.6250 0.3750 0.2500
Zr1 0.0000 0.0000 0.0000
Zr2 0.0000 0.0000 0.5000
Zr3 0.0000 0.5000 0.0000
Zr4 0.5000 0.0000 0.5000
O1 0.2124 0.2381 0.9743
O2 0.2361 0.7619 0.4743
O3 0.2381 0.2124 0.4743
O4 0.2381 0.7639 0.0257
O5 0.7619 0.2361 0.9743
O6 0.7619 0.7876 0.5257
O7 0.7639 0.2381 0.5257
O8 0.7876 0.7619 0.0257

Largest 10 diffraction maxima, in order of rising 2θ, 10 to 90 degrees two-theta:
- 2θ = 16.8°, d 5.263, I = 100
- 2θ = 32.6°, d 2.748, I = 53
- 2θ = 34.1°, d 2.631, I = 26
- 2θ = 39.5°, d 2.281, I = 34
- 2θ = 39.6°, d 2.274, I = 17
- 2θ = 43.3°, d 2.091, I = 16
- 2θ = 52.1°, d 1.755, I = 16
- 2θ = 57.2°, d 1.611, I = 34
- 2θ = 60.0°, d 1.542, I = 12
- 2θ = 71.7°, d 1.316, I = 9

For Tb2Pm6Ru, a structure optimized by DFT (PBE) gives the simulated X-ray powder pattern in this record (Cu Kα, 1.54184 Å).
No peak broadening, texture or thermal motion is included.

Structure:
Unit cell a=8.7785 b=3.7903 c=8.9045 alpha=90.00 beta=93.00 gamma=90.00
Element x y z (fractional)
Tb1 0.1983 0.0000 0.0328
Tb2 0.8017 0.0000 0.9672
Pm1 0.0548 0.5000 0.7204
Pm2 0.2709 0.0000 0.4490
Pm3 0.4680 0.5000 0.8028
Pm4 0.5320 0.5000 0.1972
Pm5 0.7291 0.0000 0.5510
Pm6 0.9452 0.5000 0.2796
Ru1 0.5000 0.5000 0.5000

Largest 10 diffraction maxima, in order of rising 2θ, 10 to 90 degrees two-theta:
- 2θ = 27.3°, d 3.263, I = 25
- 2θ = 29.4°, d 3.043, I = 49
- 2θ = 31.0°, d 2.884, I = 68
- 2θ = 31.2°, d 2.867, I = 100
- 2θ = 31.3°, d 2.854, I = 48
- 2θ = 31.7°, d 2.820, I = 30
- 2θ = 48.0°, d 1.895, I = 20
- 2θ = 48.9°, d 1.862, I = 37
- 2θ = 53.0°, d 1.728, I = 26
- 2θ = 58.4°, d 1.579, I = 30

For Cs2CaThS4, a structure optimized by DFT (PBE) gives the simulated X-ray powder pattern in this record (Cu Kα, 1.54184 Å).
No peak broadening, texture or thermal motion is included.

Structure:
Unit cell a=7.3045 b=4.2789 c=8.4320 alpha=90.00 beta=107.14 gamma=90.00
Element x y z (fractional)
Cs1 0.0000 0.0000 0.0000
Cs2 0.5000 0.5000 0.0000
Ca1 0.0000 0.5000 0.5000
Th1 0.5000 0.0000 0.5000
S1 0.2406 0.0000 0.6826
S2 0.2814 0.5000 0.3150
S3 0.7186 0.5000 0.6850
S4 0.7594 0.0000 0.3174

Largest 10 diffraction maxima, in order of rising 2θ, 10 to 90 degrees two-theta:
- 2θ = 12.7°, d 6.980, I = 27
- 2θ = 14.1°, d 6.269, I = 20
- 2θ = 22.1°, d 4.031, I = 48
- 2θ = 25.2°, d 3.534, I = 50
- 2θ = 25.5°, d 3.490, I = 24
- 2θ = 28.4°, d 3.146, I = 100
- 2θ = 28.5°, d 3.134, I = 49
- 2θ = 38.4°, d 2.342, I = 36
- 2θ = 38.8°, d 2.321, I = 19
- 2θ = 42.7°, d 2.116, I = 34

Copy entry 5 word for word.
For LaCeSmY2, a structure optimized by DFT (PBE) gives the simulated X-ray powder pattern in this record (Cu Kα, 1.54184 Å).
No peak broadening, texture or thermal motion is included.

Structure:
Unit cell a=8.6483 b=6.4013 c=6.1597 alpha=90.00 beta=96.53 gamma=90.00
Element x y z (fractional)
La1 0.0000 0.0000 0.0000
La2 0.0000 0.0000 0.5000
Ce1 0.0000 0.4553 0.2500
Ce2 0.0000 0.5447 0.7500
Sm1 0.5000 0.1686 0.2500
Sm2 0.5000 0.8314 0.7500
Y1 0.3105 0.3214 0.7162
Y2 0.3105 0.6786 0.2162
Y3 0.6895 0.3214 0.7838
Y4 0.6895 0.6786 0.2838

Largest 10 diffraction maxima, in order of rising 2θ, 10 to 90 degrees two-theta:
- 2θ = 20.7°, d 4.296, I = 59
- 2θ = 27.7°, d 3.217, I = 46
- 2θ = 29.2°, d 3.060, I = 30
- 2θ = 29.8°, d 2.998, I = 100
- 2θ = 30.2°, d 2.962, I = 52
- 2θ = 32.4°, d 2.761, I = 32
- 2θ = 32.7°, d 2.737, I = 34
- 2θ = 33.0°, d 2.711, I = 35
- 2θ = 35.2°, d 2.553, I = 43
- 2θ = 43.1°, d 2.098, I = 37